Entry 1:
Theoretical PXRD pattern of Cu for Cu Kα (weighted mean of Kα1 and Kα2), from a DFT-relaxed cell (GGA-PBE, OQMD).
Intensities are scaled so that the largest is 100.

Peak list (8 most intense, 10 to 80 degrees two-theta, by angle)
two_theta, I/Imax
10.88, 19.4
41.82, 30.8
43.90, 100.0
44.18, 69.2
49.28, 18.6
51.15, 31.0
51.38, 41.8
75.41, 23.7

Crystal structure
abc: 2.528 3.573 32.536
angles: 90.00 90.00 90.00
Fractional coordinates of all 16 atoms:
Cu: 0.250 0.250 0.019
Cu: 0.250 0.250 0.097
Cu: 0.250 0.250 0.176
Cu: 0.250 0.250 0.255
Cu: 0.250 0.250 0.708
Cu: 0.250 0.250 0.786
Cu: 0.250 0.250 0.864
Cu: 0.250 0.250 0.942
Cu: 0.750 0.750 0.058
Cu: 0.750 0.750 0.136
Cu: 0.750 0.750 0.214
Cu: 0.750 0.750 0.292
Cu: 0.750 0.750 0.745
Cu: 0.750 0.750 0.824
Cu: 0.750 0.750 0.903
Cu: 0.750 0.750 0.981

=====

Entry 2:
Theoretical PXRD pattern of GdDyBi2S2 for Cu Kα (weighted mean of Kα1 and Kα2), from a DFT-relaxed cell (GGA-PBE, OQMD).
Intensities are scaled so that the largest is 100.

Peak list (8 most intense, 10 to 80 degrees two-theta, by angle)
two_theta, I/Imax
10.12, 50.6
23.41, 35.1
30.70, 45.5
31.69, 100.0
36.47, 78.5
42.87, 40.2
53.64, 38.4
74.33, 20.6

Crystal structure
abc: 4.219 4.219 8.737
angles: 90.00 90.00 90.00
Fractional coordinates of all 6 atoms:
Gd: 0.000 0.000 0.000
Dy: 0.500 0.500 0.633
Bi: 0.000 0.500 0.317
Bi: 0.500 0.000 0.317
S: 0.000 0.000 0.688
S: 0.500 0.500 0.941

=====

Entry 3:
Theoretical PXRD pattern of La3CdS for Cu Kα (weighted mean of Kα1 and Kα2), from a DFT-relaxed cell (GGA-PBE, OQMD).
Intensities are scaled so that the largest is 100.

Peak list (8 most intense, 10 to 80 degrees two-theta, by angle)
two_theta, I/Imax
28.12, 100.0
32.58, 66.0
46.75, 47.5
55.44, 44.8
58.14, 16.3
68.25, 7.5
75.38, 17.8
77.70, 20.7

Crystal structure
abc: 7.773 7.773 7.773
angles: 120.00 90.00 120.01
Fractional coordinates of all 10 atoms:
La: 0.248 0.000 0.748
La: 0.248 0.500 0.248
La: 0.253 0.003 0.250
La: 0.747 0.997 0.750
La: 0.752 0.000 0.252
La: 0.752 0.500 0.752
Cd: 0.250 0.500 0.750
Cd: 0.750 0.500 0.250
S: 0.000 0.000 0.000
S: 0.500 0.000 0.500

=====

Entry 4:
Theoretical PXRD pattern of Ba2MgMoS6 for Cu Kα (weighted mean of Kα1 and Kα2), from a DFT-relaxed cell (GGA-PBE, OQMD).
Intensities are scaled so that the largest is 100.

Peak list (8 most intense, 10 to 80 degrees two-theta, by angle)
two_theta, I/Imax
17.44, 62.0
21.24, 100.0
22.66, 66.3
24.19, 46.1
31.51, 39.5
31.86, 91.5
32.21, 30.8
34.53, 36.6

Crystal structure
abc: 8.959 8.959 10.413
angles: 122.76 122.76 69.16
Fractional coordinates of all 20 atoms:
Ba: 0.072 0.401 0.240
Ba: 0.401 0.072 0.740
Ba: 0.599 0.928 0.260
Ba: 0.928 0.599 0.760
Mg: 0.466 0.534 0.750
Mg: 0.534 0.466 0.250
Mo: 0.208 0.792 0.250
Mo: 0.792 0.208 0.750
S: 0.075 0.258 0.868
S: 0.147 0.608 0.622
S: 0.258 0.075 0.368
S: 0.336 0.623 0.066
S: 0.377 0.664 0.434
S: 0.392 0.853 0.878
S: 0.608 0.147 0.122
S: 0.623 0.336 0.566
S: 0.664 0.377 0.934
S: 0.742 0.925 0.632
S: 0.853 0.392 0.378
S: 0.925 0.742 0.132

=====

Entry 5:
Theoretical PXRD pattern of ErTc2O8 for Cu Kα (weighted mean of Kα1 and Kα2), from a DFT-relaxed cell (GGA-PBE, OQMD).
Intensities are scaled so that the largest is 100.

Peak list (8 most intense, 10 to 80 degrees two-theta, by angle)
two_theta, I/Imax
16.41, 62.9
26.95, 100.0
31.71, 12.7
42.09, 22.5
47.60, 39.3
55.55, 19.8
62.80, 16.2
76.11, 20.9

Crystal structure
abc: 6.617 6.617 6.617
angles: 60.00 60.00 60.00
Fractional coordinates of all 11 atoms:
Er: 0.000 0.000 0.000
Tc: 0.250 0.250 0.250
Tc: 0.750 0.750 0.750
O: 0.142 0.142 0.142
O: 0.142 0.142 0.574
O: 0.142 0.574 0.142
O: 0.426 0.858 0.858
O: 0.574 0.142 0.142
O: 0.858 0.426 0.858
O: 0.858 0.858 0.426
O: 0.858 0.858 0.858

=====

Entry 6:
Theoretical PXRD pattern of Tm2Fe17C3 for Cu Kα (weighted mean of Kα1 and Kα2), from a DFT-relaxed cell (GGA-PBE, OQMD).
Intensities are scaled so that the largest is 100.

Peak list (8 most intense, 10 to 80 degrees two-theta, by angle)
two_theta, I/Imax
29.95, 47.0
36.33, 41.0
37.68, 30.6
42.20, 74.4
42.53, 100.0
43.52, 34.2
61.46, 22.2
62.19, 32.4

Crystal structure
abc: 6.462 6.462 6.462
angles: 83.03 83.03 83.03
Fractional coordinates of all 22 atoms:
Tm: 0.158 0.158 0.158
Tm: 0.842 0.842 0.842
Fe: 0.000 0.500 0.500
Fe: 0.156 0.156 0.646
Fe: 0.156 0.646 0.156
Fe: 0.216 0.500 0.784
Fe: 0.216 0.784 0.500
Fe: 0.354 0.844 0.844
Fe: 0.404 0.404 0.404
Fe: 0.500 0.000 0.500
Fe: 0.500 0.216 0.784
Fe: 0.500 0.500 0.000
Fe: 0.500 0.784 0.216
Fe: 0.596 0.596 0.596
Fe: 0.646 0.156 0.156
Fe: 0.784 0.216 0.500
Fe: 0.784 0.500 0.216
Fe: 0.844 0.354 0.844
Fe: 0.844 0.844 0.354
C: 0.000 0.000 0.500
C: 0.000 0.500 0.000
C: 0.500 0.000 0.000

=====

Entry 7:
Theoretical PXRD pattern of SmZn3C3 for Cu Kα (weighted mean of Kα1 and Kα2), from a DFT-relaxed cell (GGA-PBE, OQMD).
Intensities are scaled so that the largest is 100.

Peak list (8 most intense, 10 to 80 degrees two-theta, by angle)
two_theta, I/Imax
30.89, 100.0
33.00, 26.3
35.77, 62.0
39.09, 39.2
41.41, 25.6
42.84, 35.1
51.58, 47.7
68.19, 33.2

Crystal structure
abc: 3.544 3.544 17.446
angles: 90.00 90.00 120.00
Fractional coordinates of all 14 atoms:
Sm: 0.000 0.000 0.000
Sm: 0.000 0.000 0.500
Zn: 0.333 0.667 0.133
Zn: 0.333 0.667 0.367
Zn: 0.333 0.667 0.750
Zn: 0.667 0.333 0.250
Zn: 0.667 0.333 0.633
Zn: 0.667 0.333 0.867
C: 0.333 0.667 0.250
C: 0.333 0.667 0.587
C: 0.333 0.667 0.913
C: 0.667 0.333 0.087
C: 0.667 0.333 0.413
C: 0.667 0.333 0.750

=====

Entry 8:
Theoretical PXRD pattern of Ba2Si7Ni3 for Cu Kα (weighted mean of Kα1 and Kα2), from a DFT-relaxed cell (GGA-PBE, OQMD).
Intensities are scaled so that the largest is 100.

Peak list (8 most intense, 10 to 80 degrees two-theta, by angle)
two_theta, I/Imax
19.55, 100.0
26.67, 45.5
30.06, 47.6
31.22, 63.8
34.21, 30.3
38.90, 44.2
42.28, 44.3
46.98, 47.1

Crystal structure
abc: 9.081 9.081 3.693
angles: 90.00 90.00 120.00
Fractional coordinates of all 12 atoms:
Ba: 0.333 0.667 0.000
Ba: 0.667 0.333 0.000
Si: 0.000 0.000 0.000
Si: 0.000 0.596 0.500
Si: 0.000 0.750 0.000
Si: 0.250 0.250 0.000
Si: 0.404 0.404 0.500
Si: 0.596 0.000 0.500
Si: 0.750 0.000 0.000
Ni: 0.000 0.165 0.500
Ni: 0.165 0.000 0.500
Ni: 0.835 0.835 0.500

=====

Entry 9:
Theoretical PXRD pattern of ZnB for Cu Kα (weighted mean of Kα1 and Kα2), from a DFT-relaxed cell (GGA-PBE, OQMD).
Intensities are scaled so that the largest is 100.

Peak list (8 most intense, 10 to 80 degrees two-theta, by angle)
two_theta, I/Imax
31.43, 22.5
35.87, 56.2
39.74, 100.0
41.05, 77.1
42.83, 44.6
44.19, 53.3
45.15, 40.6
46.22, 28.1

Crystal structure
abc: 4.028 2.996 9.208
angles: 90.00 98.15 90.00
Fractional coordinates of all 10 atoms:
Zn: 0.000 0.000 0.000
Zn: 0.088 0.500 0.257
Zn: 0.438 0.000 0.823
Zn: 0.526 0.500 0.081
Zn: 0.634 0.000 0.364
B: 0.094 0.500 0.651
B: 0.158 0.000 0.457
B: 0.337 0.500 0.511
B: 0.665 0.500 0.657
B: 0.900 0.000 0.710

=====

Entry 10:
Theoretical PXRD pattern of NdTeAuO for Cu Kα (weighted mean of Kα1 and Kα2), from a DFT-relaxed cell (GGA-PBE, OQMD).
Intensities are scaled so that the largest is 100.

Peak list (8 most intense, 10 to 80 degrees two-theta, by angle)
two_theta, I/Imax
27.52, 94.6
30.35, 100.0
31.72, 62.6
33.75, 76.8
35.17, 61.5
44.47, 62.9
47.12, 43.6
54.12, 41.4

Crystal structure
abc: 20.720 4.156 4.156
angles: 89.74 90.00 90.00
Fractional coordinates of all 16 atoms:
Nd: 0.055 0.250 0.750
Nd: 0.445 0.750 0.250
Nd: 0.555 0.250 0.750
Nd: 0.945 0.750 0.250
Te: 0.142 0.749 0.252
Te: 0.358 0.249 0.752
Te: 0.642 0.752 0.249
Te: 0.858 0.252 0.749
Au: 0.250 0.001 0.006
Au: 0.250 0.501 0.506
Au: 0.750 0.006 0.001
Au: 0.750 0.506 0.501
O: 0.000 0.250 0.250
O: 0.000 0.750 0.750
O: 0.500 0.250 0.250
O: 0.500 0.750 0.750

=====

Entry 11:
Theoretical PXRD pattern of Co7Ir for Cu Kα (weighted mean of Kα1 and Kα2), from a DFT-relaxed cell (GGA-PBE, OQMD).
Intensities are scaled so that the largest is 100.

Peak list (8 most intense, 10 to 80 degrees two-theta, by angle)
two_theta, I/Imax
16.15, 8.2
21.68, 14.5
27.15, 16.9
35.01, 13.4
44.19, 55.8
45.51, 100.0
64.27, 17.2
68.36, 6.5

Crystal structure
abc: 4.099 4.099 5.489
angles: 90.00 90.00 90.00
Fractional coordinates of all 8 atoms:
Co: 0.000 0.000 0.000
Co: 0.000 0.000 0.500
Co: 0.000 0.500 0.232
Co: 0.000 0.500 0.768
Co: 0.500 0.000 0.232
Co: 0.500 0.000 0.768
Co: 0.500 0.500 0.000
Ir: 0.500 0.500 0.500

=====

Entry 12:
Theoretical PXRD pattern of SmCd2In2 for Cu Kα (weighted mean of Kα1 and Kα2), from a DFT-relaxed cell (GGA-PBE, OQMD).
Intensities are scaled so that the largest is 100.

Peak list (8 most intense, 10 to 80 degrees two-theta, by angle)
two_theta, I/Imax
29.38, 32.4
29.68, 48.6
32.13, 51.3
35.89, 63.6
36.07, 39.5
36.28, 100.0
36.48, 38.1
64.58, 35.5

Crystal structure
abc: 4.975 5.063 6.211
angles: 82.10 71.57 60.66
Fractional coordinates of all 5 atoms:
Sm: 0.000 0.000 0.000
Cd: 0.220 0.346 0.272
Cd: 0.780 0.654 0.728
In: 0.462 0.305 0.705
In: 0.538 0.695 0.295

=====

Entry 13:
Theoretical PXRD pattern of RbAg2AsSO3 for Cu Kα (weighted mean of Kα1 and Kα2), from a DFT-relaxed cell (GGA-PBE, OQMD).
Intensities are scaled so that the largest is 100.

Peak list (8 most intense, 10 to 80 degrees two-theta, by angle)
two_theta, I/Imax
28.90, 89.2
30.44, 46.9
31.53, 52.5
31.97, 100.0
39.75, 26.6
42.85, 23.9
51.17, 23.2
53.47, 20.7

Crystal structure
abc: 5.642 5.642 5.781
angles: 114.30 114.30 96.87
Fractional coordinates of all 8 atoms:
Rb: 0.000 0.000 0.000
Ag: 0.230 0.707 0.443
Ag: 0.707 0.230 0.443
As: 0.435 0.435 0.912
S: 0.782 0.782 0.335
O: 0.141 0.481 0.918
O: 0.432 0.432 0.610
O: 0.481 0.141 0.918